Structure and calculated powder XRD pattern of TiGaCl5 (a cell relaxed with PBE; Cu Ka).

Peak list (8 most intense, 5 to 70 degrees two-theta, by angle)
d/Å, I_rel, index
6.534, 44, 0 1 0
6.110, 100, 1 0 1
5.923, 28, 1 1 1
5.498, 32, 0 1 1
4.861, 32, 1 0 -1
3.728, 15, 1 -1 1
3.583, 15, 1 1 -2
2.762, 14, 1 1 -3

Cell and atoms:
```
data_TiGaCl5
_chemical_formula_sum 'Ti2 Ga2 Cl10'
_cell_length_a 7.3377
_cell_length_b 7.3885
_cell_length_c 10.8609
_cell_angle_alpha 83.38
_cell_angle_beta 73.92
_cell_angle_gamma 62.18
_symmetry_space_group_name_H-M 'P 1'
_symmetry_Int_Tables_number 1
_symmetry_space_group_name_Hall 'P 1'
loop_
_atom_site_label
_atom_site_type_symbol
_atom_site_fract_x
_atom_site_fract_y
_atom_site_fract_z
Ti1 Ti 0.0000 0.0000 0.0000
Ti2 Ti 0.3654 0.8761 0.5998
Ga1 Ga 0.5404 0.1061 0.3296
Ga2 Ga 0.9419 0.6244 0.8476
Cl1 Cl 0.0268 0.2406 0.0916
Cl2 Cl 0.1083 0.7618 0.6250
Cl3 Cl 0.1844 0.0840 0.7893
Cl4 Cl 0.2255 0.6551 0.9542
Cl5 Cl 0.3376 0.9373 0.3751
Cl6 Cl 0.4075 0.3982 0.2450
Cl7 Cl 0.5341 0.1160 0.5377
Cl8 Cl 0.6554 0.5969 0.6190
Cl9 Cl 0.7129 0.0323 0.9358
Cl10 Cl 0.8653 0.8813 0.2256
```

=====

Structure and calculated powder XRD pattern of Tl2GaCl5 (a cell relaxed with PBE; Cu Ka).

Peak list (8 most intense, 5 to 70 degrees two-theta, by angle)
d/Å, I_rel, index
8.918, 84, 1 1 0
6.751, 62, 1 0 1
5.518, 51, 2 1 0
4.113, 92, 1 3 0
3.694, 100, 1 1 2
3.496, 69, 3 1 1
3.450, 75, 0 2 2
2.396, 53, 5 1 0

Cell and atoms:
```
data_Tl2GaCl5
_chemical_formula_sum 'Tl8 Ga4 Cl20'
_cell_length_a 12.1646
_cell_length_b 13.1117
_cell_length_c 8.1159
_cell_angle_alpha 90.00
_cell_angle_beta 90.00
_cell_angle_gamma 90.00
_symmetry_space_group_name_H-M 'P n n m'
_symmetry_Int_Tables_number 58
_symmetry_space_group_name_Hall '-P 2 2n'
loop_
_atom_site_label
_atom_site_type_symbol
_atom_site_fract_x
_atom_site_fract_y
_atom_site_fract_z
Tl1 Tl 0.0000 0.0000 0.2358
Tl2 Tl 0.0900 0.3370 0.5000
Ga1 Ga 0.2320 0.2575 0.0000
Cl1 Cl 0.0528 0.2402 0.0000
Cl2 Cl 0.1009 0.1196 0.5000
Cl3 Cl 0.1861 0.6075 0.5000
Cl4 Cl 0.2173 0.8435 0.2772
```

=====

Structure and calculated powder XRD pattern of TlGaCl4 (a cell relaxed with PBE; Cu Ka).

Peak list (8 most intense, 5 to 70 degrees two-theta, by angle)
d/Å, I_rel, index
5.887, 26, 0 1 1
4.961, 55, 0 0 2
3.971, 100, 2 1 1
3.656, 37, 0 2 0
3.265, 40, 2 1 2
3.014, 30, 0 1 3
2.629, 33, 2 1 3
2.596, 33, 4 0 1

Cell and atoms:
```
data_TlGaCl4
_chemical_formula_sum 'Tl4 Ga4 Cl16'
_cell_length_a 10.7581
_cell_length_b 7.3137
_cell_length_c 9.9223
_cell_angle_alpha 90.00
_cell_angle_beta 90.00
_cell_angle_gamma 90.00
_symmetry_space_group_name_H-M 'P n m a'
_symmetry_Int_Tables_number 62
_symmetry_space_group_name_Hall '-P 2ac 2n'
loop_
_atom_site_label
_atom_site_type_symbol
_atom_site_fract_x
_atom_site_fract_y
_atom_site_fract_z
Tl1 Tl 0.2062 0.2500 0.2311
Ga1 Ga 0.0518 0.2500 0.6823
Cl1 Cl 0.0537 0.0047 0.8137
Cl2 Cl 0.1188 0.7500 0.4376
Cl3 Cl 0.2226 0.2500 0.5599
```

=====

Structure and calculated powder XRD pattern of TlGa3Cl8 (a cell relaxed with PBE; Cu Ka).

Peak list (8 most intense, 5 to 70 degrees two-theta, by angle)
d/Å, I_rel, index
5.452, 73, 2 0 0
5.223, 100, 1 1 1
3.965, 97, 1 1 -2
3.876, 88, 1 1 2
3.749, 53, 0 2 0
3.270, 75, 3 1 0
3.015, 46, 0 2 2
1.998, 41, 4 2 2

Cell and atoms:
```
data_TlGa3Cl8
_chemical_formula_sum 'Tl2 Ga6 Cl16'
_cell_length_a 10.9124
_cell_length_b 7.4976
_cell_length_c 10.1517
_cell_angle_alpha 90.00
_cell_angle_beta 92.33
_cell_angle_gamma 90.00
_symmetry_space_group_name_H-M 'C 1 2/m 1'
_symmetry_Int_Tables_number 12
_symmetry_space_group_name_Hall '-C 2y'
loop_
_atom_site_label
_atom_site_type_symbol
_atom_site_fract_x
_atom_site_fract_y
_atom_site_fract_z
Tl1 Tl 0.0000 0.0000 0.0000
Ga1 Ga 0.0000 0.0000 0.5000
Ga2 Ga 0.1080 0.5000 0.2597
Cl1 Cl 0.0120 0.2601 0.7380
Cl2 Cl 0.2033 0.5000 0.0736
Cl3 Cl 0.2244 0.5000 0.4405
```

=====

Structure and calculated powder XRD pattern of Tl3GaCl (a cell relaxed with PBE; Cu Ka).

Peak list (8 most intense, 5 to 70 degrees two-theta, by angle)
d/Å, I_rel, index
5.572, 48, 1 0 0
3.217, 100, 1 1 1
2.786, 82, 2 0 0
2.492, 27, 2 1 0
1.970, 61, 2 2 0
1.857, 15, 3 0 0
1.680, 47, 3 1 1
1.608, 21, 2 2 2

Cell and atoms:
```
data_Tl3GaCl
_chemical_formula_sum 'Tl3 Ga1 Cl1'
_cell_length_a 5.5720
_cell_length_b 5.5720
_cell_length_c 5.5720
_cell_angle_alpha 90.00
_cell_angle_beta 90.00
_cell_angle_gamma 90.00
_symmetry_space_group_name_H-M 'P m -3 m'
_symmetry_Int_Tables_number 221
_symmetry_space_group_name_Hall '-P 4 2 3'
loop_
_atom_site_label
_atom_site_type_symbol
_atom_site_fract_x
_atom_site_fract_y
_atom_site_fract_z
Tl1 Tl 0.0000 0.0000 0.5000
Ga1 Ga 0.0000 0.0000 0.0000
Cl1 Cl 0.5000 0.5000 0.5000
```

=====

Structure and calculated powder XRD pattern of TmTlGa2Cl6 (a cell relaxed with PBE; Cu Ka).

Peak list (8 most intense, 5 to 70 degrees two-theta, by angle)
d/Å, I_rel, index
5.444, 100, 1 1 0
3.949, 88, 1 1 2
3.757, 83, 2 1 1
2.722, 44, 2 2 0
2.485, 89, 1 2 3
2.206, 31, 1 -2 1
2.169, 47, 3 3 2
1.697, 22, 2 0 4

Cell and atoms:
```
data_TmTlGa2Cl6
_chemical_formula_sum 'Tm1 Tl1 Ga2 Cl6'
_cell_length_a 7.5039
_cell_length_b 7.5198
_cell_length_c 7.9142
_cell_angle_alpha 61.75
_cell_angle_beta 61.71
_cell_angle_gamma 60.08
_symmetry_space_group_name_H-M 'P 1'
_symmetry_Int_Tables_number 1
_symmetry_space_group_name_Hall 'P 1'
loop_
_atom_site_label
_atom_site_type_symbol
_atom_site_fract_x
_atom_site_fract_y
_atom_site_fract_z
Tm1 Tm 0.0000 0.0000 0.0000
Tl1 Tl 0.5123 0.5121 0.4642
Ga1 Ga 0.3138 0.3128 0.0606
Ga2 Ga 0.8045 0.8049 0.5873
Cl1 Cl 0.0917 0.7638 0.7941
Cl2 Cl 0.1796 0.6363 0.2553
Cl3 Cl 0.3507 0.0920 0.7951
Cl4 Cl 0.6350 0.9294 0.2546
Cl5 Cl 0.7633 0.3503 0.7952
Cl6 Cl 0.9290 0.1792 0.2561
```